[1]
# Cs2K4Fe2O5
Theoretical PXRD pattern, Cu Kα X-rays. Input: a DFT-relaxed cell (GGA+U, the Materials Project).
Neutral-atom scattering factors, no anomalous dispersion.

Top 8 peaks for 15° ≤ 2θ ≤ 90°, by angle:
2θ/deg  d (Å)  I (rel.)
15.3  5.796  64
29.2  3.056  45
29.3  3.048  64
29.5  3.027  75
29.7  3.010  100
30.9  2.898  58
32.2  2.782  73
36.0  2.495  40

Crystal structure
abc: 6.797 6.797 7.043
angles: 90.11 90.11 117.02
Element x y z (fractional)
Cs 0.170 0.170 0.301
Cs 0.830 0.830 0.699
K 0.261 0.739 0.000
K 0.277 0.723 0.500
K 0.723 0.277 0.500
K 0.739 0.261 0.000
Fe 0.302 0.302 0.809
Fe 0.698 0.698 0.191
O 0.063 0.354 0.728
O 0.354 0.063 0.728
O 0.500 0.500 0.000
O 0.646 0.937 0.272
O 0.937 0.646 0.272

=====

[2]
# Cs3Li2FeMo4O16
Theoretical PXRD pattern, Cu Kα X-rays. Input: a DFT-relaxed cell (GGA+U, the Materials Project).
Neutral-atom scattering factors, no anomalous dispersion.

Top 8 peaks for 15° ≤ 2θ ≤ 90°, by angle:
2θ/deg  d (Å)  I (rel.)
22.4  3.962  37
26.6  3.348  100
31.9  2.802  17
33.6  2.671  18
39.4  2.287  13
44.6  2.033  17
49.3  1.847  10
54.8  1.674  9

Crystal structure
abc: 10.850 10.850 10.850
angles: 109.53 109.53 109.35
Element x y z (fractional)
Cs 0.000 0.000 0.000
Cs 0.239 0.125 0.614
Cs 0.375 0.761 0.886
Cs 0.511 0.625 0.386
Cs 0.750 0.250 0.500
Cs 0.875 0.489 0.114
Li 0.375 0.249 0.374
Li 0.751 0.125 0.126
Li 0.875 0.001 0.626
Li 0.999 0.625 0.874
Fe 0.250 0.750 0.500
Fe 0.500 0.500 0.000
Mo 0.126 0.378 0.447
Mo 0.128 0.376 0.947
Mo 0.321 0.874 0.252
Mo 0.429 0.181 0.053
Mo 0.622 0.069 0.748
Mo 0.624 0.571 0.752
Mo 0.819 0.872 0.248
Mo 0.931 0.679 0.553
O 0.010 0.447 0.878
O 0.057 0.186 0.809
O 0.074 0.747 0.495
O 0.124 0.376 0.107
O 0.126 0.374 0.607
O 0.182 0.803 0.063
O 0.197 0.260 0.378
O 0.252 0.579 0.505
O 0.253 0.748 0.327
O 0.268 0.017 0.893
O 0.329 0.502 0.005
O 0.373 0.064 0.371
O 0.377 0.247 0.191
O 0.421 0.926 0.673
O 0.482 0.874 0.248
O 0.497 0.324 0.995
O 0.498 0.503 0.827
O 0.553 0.432 0.563
O 0.568 0.131 0.122
O 0.624 0.732 0.748
O 0.626 0.233 0.752
O 0.676 0.671 0.173
O 0.693 0.003 0.629
O 0.740 0.119 0.937
O 0.753 0.943 0.129
O 0.767 0.518 0.393
O 0.814 0.623 0.871
O 0.869 0.990 0.437
O 0.881 0.818 0.622
O 0.936 0.307 0.309
O 0.983 0.876 0.252
O 0.997 0.627 0.691

=====

[3]
# CsMgFeS2O8
Theoretical PXRD pattern, Cu Kα X-rays. Input: a DFT-relaxed cell (GGA+U, the Materials Project).
Neutral-atom scattering factors, no anomalous dispersion.

Top 8 peaks for 15° ≤ 2θ ≤ 90°, by angle:
2θ/deg  d (Å)  I (rel.)
19.8  4.491  34
22.1  4.030  73
27.9  3.202  100
34.6  2.593  49
40.0  2.255  25
44.5  2.035  22
45.0  2.015  25
58.0  1.591  23

Crystal structure
abc: 5.186 5.186 9.130
angles: 89.99 89.98 60.01
Element x y z (fractional)
Cs 0.000 0.000 0.000
Mg 0.334 0.333 0.538
Fe 0.000 0.000 0.454
S 0.333 0.334 0.264
S 0.667 0.666 0.680
O 0.077 0.612 0.328
O 0.312 0.079 0.329
O 0.334 0.333 0.104
O 0.400 0.655 0.622
O 0.611 0.313 0.328
O 0.655 0.945 0.622
O 0.667 0.666 0.840
O 0.945 0.400 0.622